[1]
Diffraction record for SrEuBiSbO6. The powder X-ray diffraction pattern is computed, not measured: it uses a cell relaxed with GGA-PBE and Cu Ka.

Crystal structure
Lattice parameters (Å, degrees): 8.528 8.528 8.528 90.00 90.00 90.00
Fractional positions:
Sr  0.000  0.000  0.000
Sr  0.000  0.000  0.500
Sr  0.500  0.000  0.000
Sr  0.500  0.500  0.500
Eu  0.000  0.500  0.000
Eu  0.000  0.500  0.500
Eu  0.500  0.000  0.500
Eu  0.500  0.500  0.000
Bi  0.250  0.250  0.250
Bi  0.250  0.750  0.750
Bi  0.750  0.250  0.750
Bi  0.750  0.750  0.250
Sb  0.250  0.251  0.750
Sb  0.250  0.749  0.250
Sb  0.750  0.251  0.250
Sb  0.750  0.749  0.750
O  0.021  0.301  0.710
O  0.021  0.699  0.290
O  0.202  0.213  0.979
O  0.202  0.787  0.021
O  0.213  0.021  0.703
O  0.213  0.979  0.297
O  0.290  0.480  0.800
O  0.290  0.520  0.200
O  0.296  0.288  0.520
O  0.296  0.712  0.480
O  0.480  0.204  0.787
O  0.480  0.796  0.213
O  0.520  0.204  0.213
O  0.520  0.796  0.787
O  0.704  0.288  0.480
O  0.704  0.712  0.520
O  0.710  0.480  0.200
O  0.710  0.520  0.800
O  0.787  0.021  0.297
O  0.787  0.979  0.703
O  0.798  0.213  0.021
O  0.798  0.787  0.979
O  0.979  0.301  0.290
O  0.979  0.699  0.710

Most intense lines, 10 to 90 degrees two-theta, sorted by position:
two_theta, I/Imax
29.63, 100
42.40, 26
52.57, 45
61.51, 16
69.74, 19
85.14, 23

[2]
Diffraction record for SrEuBiSbO6. The powder X-ray diffraction pattern is computed, not measured: it uses a cell relaxed with GGA-PBE and Cu Ka.

Crystal structure
Lattice parameters (Å, degrees): 6.046 6.046 6.046 60.00 60.00 60.00
Fractional positions:
Sr  0.000  0.000  0.000
Eu  0.500  0.500  0.500
Bi  0.250  0.250  0.250
Sb  0.750  0.750  0.750
O  0.516  0.516  0.984
O  0.516  0.984  0.516
O  0.516  0.984  0.984
O  0.984  0.516  0.516
O  0.984  0.516  0.984
O  0.984  0.984  0.516

Most intense lines, 10 to 90 degrees two-theta, sorted by position:
two_theta, I/Imax
29.55, 100
42.28, 29
52.43, 41
61.34, 18
69.54, 19
84.87, 22

[3]
Diffraction record for SrEuBiSbO6. The powder X-ray diffraction pattern is computed, not measured: it uses a cell relaxed with GGA-PBE and Cu Ka.

Crystal structure
Lattice parameters (Å, degrees): 5.922 6.116 8.494 90.02 90.26 90.09
Fractional positions:
Sr  0.014  0.053  0.249
Sr  0.986  0.947  0.751
Eu  0.483  0.555  0.251
Eu  0.517  0.445  0.749
Bi  0.000  0.500  0.500
Bi  0.500  0.000  0.000
Sb  0.000  0.500  0.000
Sb  0.500  0.000  0.500
O  0.109  0.534  0.771
O  0.177  0.778  0.057
O  0.221  0.815  0.448
O  0.281  0.317  0.056
O  0.325  0.283  0.442
O  0.399  0.041  0.730
O  0.601  0.959  0.270
O  0.675  0.717  0.558
O  0.719  0.683  0.944
O  0.779  0.185  0.552
O  0.823  0.222  0.943
O  0.891  0.466  0.229

Most intense lines, 10 to 90 degrees two-theta, sorted by position:
two_theta, I/Imax
29.20, 31
29.70, 100
29.79, 33
30.18, 32
42.50, 29
53.22, 22

[4]
Diffraction record for Sr2EuBiO6. The powder X-ray diffraction pattern is computed, not measured: it uses a cell relaxed with GGA-PBE and Cu Ka.

Crystal structure
Lattice parameters (Å, degrees): 5.973 6.165 10.429 90.00 124.88 90.00
Fractional positions:
Sr  0.233  0.050  0.247
Sr  0.233  0.450  0.747
Sr  0.767  0.550  0.253
Sr  0.767  0.950  0.753
Eu  0.000  0.000  0.500
Eu  0.000  0.500  0.000
Bi  0.500  0.000  0.000
Bi  0.500  0.500  0.500
O  0.162  0.194  0.952
O  0.162  0.306  0.452
O  0.249  0.716  0.942
O  0.249  0.784  0.442
O  0.361  0.044  0.761
O  0.361  0.456  0.261
O  0.639  0.544  0.739
O  0.639  0.956  0.239
O  0.751  0.216  0.558
O  0.751  0.284  0.058
O  0.838  0.694  0.548
O  0.838  0.806  0.048

Most intense lines, 10 to 90 degrees two-theta, sorted by position:
two_theta, I/Imax
20.72, 31
28.97, 24
29.49, 100
29.92, 23
42.13, 24
52.85, 23

[5]
Diffraction record for Sr2EuBiO6. The powder X-ray diffraction pattern is computed, not measured: it uses a cell relaxed with GGA-PBE and Cu Ka.

Crystal structure
Lattice parameters (Å, degrees): 6.143 6.143 6.143 60.00 60.00 60.00
Fractional positions:
Sr  0.250  0.250  0.250
Sr  0.750  0.750  0.750
Eu  0.000  0.000  0.000
Bi  0.500  0.500  0.500
O  0.257  0.257  0.743
O  0.257  0.743  0.257
O  0.257  0.743  0.743
O  0.743  0.257  0.257
O  0.743  0.257  0.743
O  0.743  0.743  0.257

Most intense lines, 10 to 90 degrees two-theta, sorted by position:
two_theta, I/Imax
20.45, 22
29.07, 100
41.58, 30
51.54, 42
60.27, 19
83.23, 23

[6]
Diffraction record for Sr2EuBiO6. The powder X-ray diffraction pattern is computed, not measured: it uses a cell relaxed with GGA-PBE and Cu Ka.

Crystal structure
Lattice parameters (Å, degrees): 8.639 8.639 8.639 90.00 90.00 90.00
Fractional positions:
Sr  0.250  0.250  0.250
Sr  0.250  0.250  0.750
Sr  0.250  0.750  0.250
Sr  0.250  0.750  0.750
Sr  0.750  0.250  0.250
Sr  0.750  0.250  0.750
Sr  0.750  0.750  0.250
Sr  0.750  0.750  0.750
Eu  0.000  0.000  0.000
Eu  0.000  0.500  0.500
Eu  0.500  0.000  0.500
Eu  0.500  0.500  0.000
Bi  0.000  0.000  0.500
Bi  0.000  0.500  0.000
Bi  0.500  0.000  0.000
Bi  0.500  0.500  0.500
O  0.037  0.546  0.759
O  0.037  0.954  0.741
O  0.046  0.241  0.537
O  0.046  0.259  0.963
O  0.241  0.537  0.046
O  0.241  0.963  0.454
O  0.259  0.537  0.454
O  0.259  0.963  0.046
O  0.454  0.241  0.963
O  0.454  0.259  0.537
O  0.463  0.546  0.741
O  0.463  0.954  0.759
O  0.537  0.046  0.241
O  0.537  0.454  0.259
O  0.546  0.741  0.463
O  0.546  0.759  0.037
O  0.741  0.037  0.954
O  0.741  0.463  0.546
O  0.759  0.037  0.546
O  0.759  0.463  0.954
O  0.954  0.741  0.037
O  0.954  0.759  0.463
O  0.963  0.046  0.259
O  0.963  0.454  0.241

Most intense lines, 10 to 90 degrees two-theta, sorted by position:
two_theta, I/Imax
20.56, 20
29.24, 100
41.82, 27
51.84, 46
68.72, 19
83.79, 24

[7]
Diffraction record for SrEuZnBiO6. The powder X-ray diffraction pattern is computed, not measured: it uses a cell relaxed with GGA-PBE and Cu Ka.

Crystal structure
Lattice parameters (Å, degrees): 5.821 5.821 5.821 60.00 60.00 60.00
Fractional positions:
Sr  0.000  0.000  0.000
Eu  0.500  0.500  0.500
Zn  0.250  0.250  0.250
Bi  0.750  0.750  0.750
O  0.005  0.005  0.495
O  0.005  0.495  0.005
O  0.005  0.495  0.495
O  0.495  0.005  0.005
O  0.495  0.005  0.495
O  0.495  0.495  0.005

Most intense lines, 10 to 90 degrees two-theta, sorted by position:
two_theta, I/Imax
18.67, 19
30.72, 100
44.00, 30
54.62, 41
63.98, 19
88.98, 22

[8]
Diffraction record for Eu2BiS4. The powder X-ray diffraction pattern is computed, not measured: it uses a cell relaxed with GGA-PBE and Cu Ka.

Crystal structure
Lattice parameters (Å, degrees): 11.591 4.067 14.646 90.00 90.00 90.00
Fractional positions:
Eu  0.111  0.250  0.097
Eu  0.228  0.750  0.845
Eu  0.272  0.250  0.345
Eu  0.389  0.750  0.597
Eu  0.611  0.250  0.403
Eu  0.728  0.750  0.655
Eu  0.772  0.250  0.155
Eu  0.889  0.750  0.903
Bi  0.064  0.250  0.608
Bi  0.436  0.750  0.108
Bi  0.564  0.250  0.892
Bi  0.936  0.750  0.392
S  0.015  0.250  0.288
S  0.061  0.250  0.905
S  0.172  0.750  0.483
S  0.238  0.750  0.201
S  0.262  0.250  0.701
S  0.328  0.250  0.983
S  0.439  0.750  0.405
S  0.485  0.750  0.788
S  0.515  0.250  0.212
S  0.561  0.250  0.595
S  0.672  0.750  0.017
S  0.738  0.750  0.299
S  0.762  0.250  0.799
S  0.828  0.250  0.517
S  0.939  0.750  0.095
S  0.985  0.750  0.712

Most intense lines, 10 to 90 degrees two-theta, sorted by position:
two_theta, I/Imax
24.31, 56
26.08, 100
26.22, 95
26.78, 39
29.61, 44
38.13, 44